TmTeAsO6: theoretical X-ray diffraction stick pattern (copper Kα), based on a structure optimized by DFT (PBE).

Crystal structure
Cell lengths 5.2743, 5.2743, 9.4093 Å; angles 90.00, 90.00, 120.00 degrees
Element x y z (fractional)
Tm: 0.0000 0.0000 0.0000
Tm: 0.0000 0.0000 0.5000
Te: 0.3333 0.6667 0.2500
Te: 0.6667 0.3333 0.7500
As: 0.3333 0.6667 0.7500
As: 0.6667 0.3333 0.2500
O: 0.0284 0.3650 0.1333
O: 0.0284 0.6635 0.3667
O: 0.3365 0.3650 0.3667
O: 0.3365 0.9716 0.1333
O: 0.3650 0.0284 0.6333
O: 0.3650 0.3365 0.8667
O: 0.6350 0.6635 0.1333
O: 0.6350 0.9716 0.3667
O: 0.6635 0.0284 0.8667
O: 0.6635 0.6350 0.6333
O: 0.9716 0.3365 0.6333
O: 0.9716 0.6350 0.8667

The 12 most intense peaks (2θ from 5° to 70°), by angle:
| two_theta | Rel. int. |
| --- | --- |
| 19.43 | 5.3 |
| 21.63 | 5.6 |
| 27.21 | 100.0 |
| 34.00 | 39.7 |
| 38.26 | 7.0 |
| 39.16 | 3.8 |
| 43.26 | 2.2 |
| 44.08 | 26.8 |
| 52.10 | 38.4 |
| 56.80 | 25.6 |
| 60.84 | 13.8 |
| 62.63 | 9.4 |